Theoretical XRD peak list
Compound: Pm4PtO
Radiation: Cu Kα (λ = 1.5418 Å)
Structure: a GGA-PBE-relaxed structure
Peak positions follow from Bragg's law for the DFT cell and can differ from measured ones.

Structural model:
abc: 9.326 9.326 6.653
angles: 90.00 90.00 149.35
Positions (direct):
Pm: 0.024 0.976 0.500
Pm: 0.159 0.841 0.861
Pm: 0.218 0.782 0.372
Pm: 0.408 0.592 0.692
Pm: 0.592 0.408 0.192
Pm: 0.782 0.218 0.872
Pm: 0.841 0.159 0.361
Pm: 0.976 0.024 0.000
Pt: 0.400 0.600 0.174
Pt: 0.600 0.400 0.674
O: 0.094 0.906 0.188
O: 0.906 0.094 0.688

Principal peaks in the range 10 to 90 degrees two-theta, by intensity:
32.85°, I = 100; 30.77°, I = 94; 36.46°, I = 54; 33.66°, I = 36; 35.85°, I = 34; 33.51°, I = 29